Structure and computed X-ray powder pattern of Mn3NbF6 (a DFT-relaxed cell (GGA+U, the Materials Project); Cu Kα, 1.54184 Å).

Top 10 peaks for 2θ from 15° to 90°, in order of rising 2θ:
| 2theta | d [Å] | intensity |
| --- | --- | --- |
| 16.67 | 5.318 | 100 |
| 16.98 | 5.220 | 96 |
| 23.29 | 3.819 | 100 |
| 23.78 | 3.742 | 38 |
| 24.34 | 3.657 | 57 |
| 24.48 | 3.636 | 62 |
| 33.71 | 2.659 | 33 |
| 34.36 | 2.610 | 37 |
| 35.54 | 2.526 | 34 |
| 48.66 | 1.871 | 26 |

Atomic structure:
```
Mn3NbF6
1.0
5.924 0.000 0.000
2.835 7.319 0.000
2.414 0.276 7.637
Mn Nb F
3 1 6
direct
0.000 0.000 0.000 Mn
0.000 0.500 0.500 Mn
0.500 0.000 0.000 Mn
0.000 0.500 0.000 Nb
0.053 0.472 0.732 F
0.134 0.710 0.936 F
0.343 0.299 0.975 F
0.657 0.701 0.025 F
0.866 0.290 0.064 F
0.947 0.528 0.268 F
```

Structure and computed X-ray powder pattern of Mn3NbF6 (a DFT-relaxed cell (GGA+U, the Materials Project); Cu Kα, 1.54184 Å).

Top 10 peaks for 2θ from 15° to 90°, in order of rising 2θ:
| 2theta | d [Å] | intensity |
| --- | --- | --- |
| 19.14 | 4.637 | 100 |
| 21.10 | 4.211 | 57 |
| 27.27 | 3.270 | 30 |
| 29.27 | 3.051 | 28 |
| 31.41 | 2.848 | 49 |
| 37.37 | 2.406 | 36 |
| 38.88 | 2.316 | 49 |
| 41.96 | 2.153 | 39 |
| 42.96 | 2.106 | 27 |
| 50.83 | 1.796 | 30 |

Atomic structure:
```
Mn3NbF6
1.0
5.641 0.000 0.000
2.520 5.129 0.000
0.312 2.880 6.102
Mn Nb F
3 1 6
direct
0.000 0.000 0.000 Mn
0.000 0.000 0.500 Mn
0.500 0.500 0.000 Mn
0.500 0.000 0.000 Nb
0.159 0.234 0.754 F
0.193 0.110 0.197 F
0.354 0.704 0.668 F
0.646 0.296 0.332 F
0.807 0.890 0.803 F
0.841 0.766 0.246 F
```

Structure and computed X-ray powder pattern of NpMnO3F6 (a DFT-relaxed cell (GGA+U, the Materials Project); Cu Kα, 1.54184 Å).

Top 10 peaks for 2θ from 15° to 90°, in order of rising 2θ:
| 2theta | d [Å] | intensity |
| --- | --- | --- |
| 15.87 | 5.586 | 26 |
| 18.22 | 4.868 | 100 |
| 18.89 | 4.699 | 17 |
| 20.28 | 4.379 | 52 |
| 24.57 | 3.624 | 42 |
| 26.34 | 3.383 | 24 |
| 27.15 | 3.284 | 20 |
| 28.84 | 3.095 | 21 |
| 29.97 | 2.981 | 17 |
| 37.95 | 2.371 | 23 |

Atomic structure:
```
NpMnO3F6
1.0
6.342 -3.626 0.000
6.342 3.626 0.000
-2.840 0.000 9.397
Np Mn O F
2 2 6 12
direct
0.000 0.000 0.000 Np
0.706 0.294 0.500 Np
0.308 0.098 0.741 Mn
0.902 0.692 0.259 Mn
0.103 0.462 0.283 O
0.248 0.752 0.000 O
0.297 0.326 0.757 O
0.454 0.546 0.500 O
0.538 0.897 0.717 O
0.674 0.703 0.243 O
0.083 0.065 0.212 F
0.107 0.074 0.600 F
0.225 0.078 0.892 F
0.547 0.139 0.514 F
0.639 0.248 0.284 F
0.678 0.121 0.988 F
0.752 0.361 0.716 F
0.861 0.453 0.486 F
0.879 0.322 0.012 F
0.922 0.775 0.108 F
0.926 0.893 0.400 F
0.935 0.917 0.788 F
```

Structure and computed X-ray powder pattern of Mn6O7F5 (a DFT-relaxed cell (GGA+U, the Materials Project); Cu Kα, 1.54184 Å).

Top 10 peaks for 2θ from 15° to 90°, in order of rising 2θ:
| 2theta | d [Å] | intensity |
| --- | --- | --- |
| 24.70 | 3.604 | 59 |
| 25.28 | 3.523 | 54 |
| 30.26 | 2.953 | 53 |
| 30.46 | 2.935 | 48 |
| 30.85 | 2.899 | 100 |
| 35.17 | 2.551 | 21 |
| 36.28 | 2.476 | 21 |
| 53.59 | 1.710 | 26 |
| 53.83 | 1.703 | 42 |
| 55.17 | 1.665 | 37 |

Atomic structure:
```
Mn6O7F5
1.0
4.594 0.000 0.000
0.132 5.646 0.000
0.062 0.088 15.308
Mn O F
12 14 10
direct
0.000 0.000 0.000 Mn
0.001 0.013 0.663 Mn
0.009 0.708 0.834 Mn
0.014 0.736 0.163 Mn
0.498 0.206 0.819 Mn
0.506 0.517 0.652 Mn
0.517 0.531 0.327 Mn
0.519 0.187 0.154 Mn
0.533 0.522 0.989 Mn
0.548 0.207 0.490 Mn
0.985 0.717 0.502 Mn
0.985 0.997 0.328 Mn
0.213 0.977 0.774 O
0.220 0.744 0.605 O
0.223 0.978 0.104 O
0.227 0.746 0.941 O
0.228 0.755 0.270 O
0.716 0.247 0.710 O
0.716 0.475 0.877 O
0.735 0.481 0.546 O
0.737 0.244 0.381 O
0.738 0.249 0.044 O
0.777 0.974 0.554 O
0.779 0.969 0.220 O
0.783 0.757 0.390 O
0.786 0.763 0.057 O
0.242 0.979 0.436 F
0.249 0.476 0.756 F
0.250 0.234 0.934 F
0.257 0.479 0.442 F
0.266 0.246 0.269 F
0.277 0.233 0.590 F
0.280 0.492 0.104 F
0.751 0.979 0.895 F
0.753 0.745 0.729 F
0.754 0.479 0.210 F
```

Structure and computed X-ray powder pattern of Mn6OF11 (a DFT-relaxed cell (GGA+U, the Materials Project); Cu Kα, 1.54184 Å).

Top 10 peaks for 2θ from 15° to 90°, in order of rising 2θ:
| 2theta | d [Å] | intensity |
| --- | --- | --- |
| 23.43 | 3.797 | 74 |
| 28.68 | 3.113 | 100 |
| 28.81 | 3.099 | 91 |
| 37.94 | 2.371 | 21 |
| 39.18 | 2.300 | 20 |
| 39.38 | 2.288 | 19 |
| 49.92 | 1.827 | 73 |
| 50.90 | 1.794 | 30 |
| 51.07 | 1.788 | 32 |
| 60.52 | 1.530 | 26 |

Atomic structure:
```
Mn6OF11
1.0
5.892 0.000 0.000
0.000 4.967 0.000
-0.125 0.000 16.194
Mn O F
12 2 22
direct
0.062 0.000 0.256 Mn
0.080 0.025 0.917 Mn
0.080 0.044 0.587 Mn
0.395 0.032 0.746 Mn
0.417 0.020 0.417 Mn
0.420 0.036 0.087 Mn
0.580 0.536 0.913 Mn
0.583 0.520 0.583 Mn
0.605 0.532 0.254 Mn
0.920 0.525 0.083 Mn
0.920 0.544 0.413 Mn
0.938 0.500 0.744 Mn
0.161 0.230 0.698 O
0.839 0.730 0.302 O
0.135 0.241 0.360 F
0.140 0.802 0.478 F
0.142 0.807 0.140 F
0.144 0.785 0.809 F
0.147 0.256 0.026 F
0.355 0.783 0.306 F
0.357 0.797 0.975 F
0.360 0.255 0.525 F
0.362 0.245 0.857 F
0.367 0.794 0.643 F
0.376 0.275 0.200 F
0.624 0.775 0.800 F
0.633 0.294 0.357 F
0.638 0.745 0.143 F
0.640 0.755 0.475 F
0.643 0.297 0.025 F
0.645 0.283 0.694 F
0.853 0.756 0.974 F
0.856 0.285 0.191 F
0.858 0.307 0.860 F
0.860 0.302 0.522 F
0.865 0.741 0.640 F
```

Structure and computed X-ray powder pattern of Mn12O5F19 (a DFT-relaxed cell (GGA+U, the Materials Project); Cu Kα, 1.54184 Å).

Top 10 peaks for 2θ from 15° to 90°, in order of rising 2θ:
| 2theta | d [Å] | intensity |
| --- | --- | --- |
| 23.59 | 3.772 | 86 |
| 23.99 | 3.709 | 83 |
| 29.04 | 3.075 | 90 |
| 29.06 | 3.072 | 100 |
| 29.31 | 3.047 | 94 |
| 29.47 | 3.031 | 86 |
| 50.87 | 1.795 | 45 |
| 51.10 | 1.787 | 44 |
| 51.42 | 1.777 | 68 |
| 57.60 | 1.600 | 42 |

Atomic structure:
```
Mn12O5F19
1.0
4.859 0.000 0.000
-0.100 5.859 0.000
-0.066 -0.060 15.911
Mn O F
12 5 19
direct
0.000 0.000 0.000 Mn
0.001 0.331 0.163 Mn
0.009 0.009 0.674 Mn
0.012 0.025 0.328 Mn
0.024 0.324 0.496 Mn
0.026 0.332 0.831 Mn
0.485 0.873 0.492 Mn
0.506 0.858 0.819 Mn
0.511 0.519 0.332 Mn
0.522 0.543 0.999 Mn
0.531 0.536 0.661 Mn
0.548 0.854 0.164 Mn
0.214 0.075 0.433 O
0.226 0.060 0.775 O
0.726 0.808 0.719 O
0.729 0.792 0.058 O
0.808 0.059 0.222 O
0.240 0.291 0.274 F
0.245 0.281 0.611 F
0.249 0.303 0.947 F
0.251 0.074 0.105 F
0.272 0.788 0.604 F
0.274 0.576 0.441 F
0.278 0.563 0.770 F
0.280 0.575 0.113 F
0.288 0.800 0.931 F
0.302 0.806 0.269 F
0.742 0.582 0.883 F
0.746 0.801 0.385 F
0.749 0.561 0.546 F
0.750 0.563 0.223 F
0.773 0.290 0.388 F
0.774 0.077 0.889 F
0.777 0.295 0.051 F
0.778 0.303 0.721 F
0.784 0.062 0.562 F
```

Structure and computed X-ray powder pattern of Mn6OF11 (a DFT-relaxed cell (GGA+U, the Materials Project); Cu Kα, 1.54184 Å).

Top 10 peaks for 2θ from 15° to 90°, in order of rising 2θ:
| 2theta | d [Å] | intensity |
| --- | --- | --- |
| 23.17 | 3.839 | 40 |
| 23.93 | 3.719 | 37 |
| 28.50 | 3.132 | 100 |
| 29.13 | 3.066 | 95 |
| 34.84 | 2.575 | 24 |
| 39.93 | 2.258 | 20 |
| 49.94 | 1.826 | 47 |
| 50.44 | 1.809 | 34 |
| 51.99 | 1.759 | 31 |
| 60.25 | 1.536 | 41 |

Atomic structure:
```
Mn6OF11
1.0
4.948 0.000 0.000
0.000 16.249 0.000
-4.760 0.000 5.853
Mn O F
12 2 22
direct
0.000 0.001 0.000 Mn
0.000 0.999 0.500 Mn
0.034 0.345 0.506 Mn
0.034 0.655 0.006 Mn
0.329 0.498 0.331 Mn
0.329 0.502 0.831 Mn
0.346 0.169 0.836 Mn
0.346 0.831 0.336 Mn
0.361 0.170 0.345 Mn
0.361 0.830 0.845 Mn
0.999 0.335 0.000 Mn
0.999 0.665 0.500 Mn
0.285 0.454 0.560 O
0.285 0.546 0.060 O
0.045 0.060 0.773 F
0.045 0.940 0.273 F
0.047 0.278 0.277 F
0.047 0.722 0.777 F
0.073 0.393 0.787 F
0.073 0.607 0.287 F
0.292 0.226 0.060 F
0.292 0.774 0.560 F
0.305 0.108 0.565 F
0.305 0.892 0.065 F
0.506 0.390 0.291 F
0.506 0.610 0.791 F
0.508 0.058 0.275 F
0.508 0.942 0.775 F
0.513 0.278 0.772 F
0.513 0.722 0.272 F
0.819 0.443 0.064 F
0.819 0.557 0.564 F
0.842 0.112 0.067 F
0.842 0.888 0.567 F
0.850 0.232 0.558 F
0.850 0.768 0.058 F
```

Structure and computed X-ray powder pattern of Mn3O5F (a DFT-relaxed cell (GGA+U, the Materials Project); Cu Kα, 1.54184 Å).

Top 10 peaks for 2θ from 15° to 90°, in order of rising 2θ:
| 2theta | d [Å] | intensity |
| --- | --- | --- |
| 27.74 | 3.216 | 100 |
| 35.72 | 2.514 | 55 |
| 39.63 | 2.274 | 9 |
| 41.02 | 2.200 | 16 |
| 54.40 | 1.686 | 59 |
| 57.29 | 1.608 | 16 |
| 61.48 | 1.508 | 9 |
| 68.75 | 1.365 | 12 |
| 69.37 | 1.355 | 20 |
| 88.98 | 1.100 | 8 |

Atomic structure:
```
Mn3O5F
1.0
6.429 0.000 0.000
0.000 3.016 0.000
-3.207 0.000 9.654
Mn O F
6 10 2
direct
0.000 0.000 0.000 Mn
0.148 0.500 0.328 Mn
0.328 0.000 0.654 Mn
0.509 0.500 0.016 Mn
0.683 0.000 0.340 Mn
0.836 0.500 0.668 Mn
0.032 0.000 0.669 O
0.070 0.500 0.129 O
0.268 0.500 0.531 O
0.310 0.000 0.001 O
0.604 0.500 0.211 O
0.641 0.000 0.669 O
0.694 0.000 0.002 O
0.733 0.500 0.466 O
0.937 0.500 0.873 O
0.971 0.000 0.333 O
0.367 0.000 0.334 F
0.401 0.500 0.799 F
```

Structure and computed X-ray powder pattern of Mn6OF11 (a DFT-relaxed cell (GGA+U, the Materials Project); Cu Kα, 1.54184 Å).

Top 10 peaks for 2θ from 15° to 90°, in order of rising 2θ:
| 2theta | d [Å] | intensity |
| --- | --- | --- |
| 25.34 | 3.515 | 99 |
| 25.98 | 3.430 | 92 |
| 32.52 | 2.753 | 100 |
| 37.22 | 2.416 | 22 |
| 37.68 | 2.388 | 22 |
| 49.40 | 1.845 | 68 |
| 50.13 | 1.820 | 59 |
| 52.04 | 1.757 | 19 |
| 55.24 | 1.663 | 22 |
| 63.34 | 1.468 | 48 |

Atomic structure:
```
Mn6OF11
1.0
9.977 0.000 0.000
0.000 3.515 3.430
0.000 -3.515 3.430
Mn O F
6 1 11
direct
0.000 0.000 0.000 Mn
0.156 0.534 0.534 Mn
0.331 0.027 0.027 Mn
0.500 0.523 0.523 Mn
0.669 0.027 0.027 Mn
0.844 0.534 0.534 Mn
0.000 0.724 0.724 O
0.000 0.305 0.305 F
0.163 0.212 0.825 F
0.163 0.825 0.212 F
0.325 0.335 0.335 F
0.333 0.720 0.720 F
0.500 0.221 0.832 F
0.500 0.832 0.221 F
0.667 0.720 0.720 F
0.675 0.335 0.335 F
0.837 0.212 0.825 F
0.837 0.825 0.212 F
```